[1]
This entry pairs a crystal structure of ReBi2W with its simulated powder X-ray diffraction pattern. Radiation: Cu Kα. Structure: DFT lattice parameters and positions (PBE).

Structural model:
Cell: 6.8375 6.8375 6.8375 Å, 90.00 90.00 90.00°
Space group Fm-3m (No. 225)
Inequivalent atoms, fractional coordinates:
Re 0.0000 0.0000 0.0000 (multiplicity 4)
Bi 0.2500 0.2500 0.2500 (multiplicity 8)
W 0.0000 0.0000 0.5000 (multiplicity 4)

Principal peaks in the range 15° ≤ 2θ ≤ 90°, most intense first:
- 37.2 deg, 2.417 Å, intensity 100, (2 2 0)
- 67.1 deg, 1.396 Å, intensity 37, (4 2 2)
- 53.6 deg, 1.709 Å, intensity 18, (4 0 0)
- 79.3 deg, 1.209 Å, intensity 12, (4 4 0)

---

[2]
This entry pairs a crystal structure of Dy3TeAu with its simulated powder X-ray diffraction pattern. Radiation: Cu Kα. Structure: DFT lattice parameters and positions (PBE).

Structural model:
Cell: 11.9059 3.9489 11.9631 Å, 90.00 90.00 90.00°
Space group Pnma (No. 62)
Inequivalent atoms, fractional coordinates:
Dy 0.0474 0.2500 0.1254 (multiplicity 4)
Dy 0.1528 0.7500 0.5557 (multiplicity 4)
Dy 0.2247 0.2500 0.7926 (multiplicity 4)
Te 0.0152 0.7500 0.3298 (multiplicity 4)
Au 0.1778 0.7500 0.9877 (multiplicity 4)

Principal peaks in the range 15° ≤ 2θ ≤ 90°, most intense first:
- 31.0 deg, 2.885 Å, intensity 100, (2 1 2)
- 33.6 deg, 2.669 Å, intensity 75, (2 0 4)
- 40.8 deg, 2.210 Å, intensity 70, (4 1 2)
- 31.9 deg, 2.806 Å, intensity 61, (0 1 3)
- 32.8 deg, 2.730 Å, intensity 61, (1 1 3)
- 35.4 deg, 2.536 Å, intensity 54, (3 1 2)
- 28.1 deg, 3.175 Å, intensity 50, (1 1 2)
- 46.0 deg, 1.974 Å, intensity 42, (0 2 0)
- 58.1 deg, 1.587 Å, intensity 32, (2 2 4)
- 44.2 deg, 2.049 Å, intensity 30, (3 0 5)

---

[3]
This entry pairs a crystal structure of Tl4Hg2Bi3 with its simulated powder X-ray diffraction pattern. Radiation: Cu Kα. Structure: DFT lattice parameters and positions (PBE).

Structural model:
Cell: 5.4440 5.4890 10.7341 Å, 88.53 89.38 60.77°
Space group P-1 (No. 2)
Inequivalent atoms, fractional coordinates:
Tl 0.0002 0.0005 0.1766 (multiplicity 2)
Tl 0.3332 0.3339 0.6179 (multiplicity 2)
Hg 0.3335 0.3331 0.2830 (multiplicity 2)
Bi 0.0000 0.0000 0.5000 (multiplicity 1)
Bi 0.3331 0.3326 0.9498 (multiplicity 2)

Principal peaks in the range 15° ≤ 2θ ≤ 90°, most intense first:
- 31.1 deg, 2.879 Å, intensity 100, (1 1 3)
- 31.3 deg, 2.860 Å, intensity 99, (1 0 -3)
- 31.6 deg, 2.834 Å, intensity 96, (0 1 -3)
- 32.4 deg, 2.765 Å, intensity 91, (1 -1 0)
- 32.6 deg, 2.743 Å, intensity 89, (1 2 0)
- 32.9 deg, 2.722 Å, intensity 88, (2 1 0)
- 56.9 deg, 1.618 Å, intensity 37, (2 3 3)
- 45.1 deg, 2.012 Å, intensity 37, (0 2 3)
- 57.5 deg, 1.604 Å, intensity 36, (3 2 3)
- 57.9 deg, 1.593 Å, intensity 36, (3 1 -3)

---

[4]
This entry pairs a crystal structure of TbTmScIn with its simulated powder X-ray diffraction pattern. Radiation: Cu Kα. Structure: DFT lattice parameters and positions (PBE).

Structural model:
Cell: 4.7077 4.7235 4.7428 Å, 90.00 90.00 90.00°
Space group Pmmm (No. 47)
Inequivalent atoms, fractional coordinates:
Tb 0.0000 0.0000 0.0000 (multiplicity 1)
Tm 0.0000 0.5000 0.5000 (multiplicity 1)
Sc 0.5000 0.5000 0.0000 (multiplicity 1)
In 0.5000 0.0000 0.5000 (multiplicity 1)

Principal peaks in the range 15° ≤ 2θ ≤ 90°, most intense first:
- 32.8 deg, 2.728 Å, intensity 100, (1 1 1)
- 37.9 deg, 2.371 Å, intensity 17, (0 0 2)
- 38.1 deg, 2.362 Å, intensity 17, (0 2 0)
- 38.2 deg, 2.354 Å, intensity 16, (2 0 0)
- 65.3 deg, 1.429 Å, intensity 13, (1 1 3)
- 65.5 deg, 1.424 Å, intensity 13, (1 3 1)
- 65.7 deg, 1.421 Å, intensity 13, (3 1 1)
- 68.8 deg, 1.364 Å, intensity 11, (2 2 2)
- 54.9 deg, 1.673 Å, intensity 11, (0 2 2)
- 55.0 deg, 1.671 Å, intensity 11, (2 0 2)

---

[5]
This entry pairs a crystal structure of Sr3AlCu2O6 with its simulated powder X-ray diffraction pattern. Radiation: Cu Kα. Structure: DFT lattice parameters and positions (PBE).

Structural model:
Cell: 5.6994 5.6994 6.2888 Å, 90.00 90.00 120.00°
Space group P-3m1 (No. 164)
Inequivalent atoms, fractional coordinates:
Sr 0.0000 0.0000 0.0000 (multiplicity 1)
Sr 0.3333 0.6667 0.6414 (multiplicity 2)
Al 0.0000 0.0000 0.5000 (multiplicity 1)
Cu 0.3333 0.6667 0.1903 (multiplicity 2)
O 0.1575 0.3150 0.3163 (multiplicity 6)

Principal peaks in the range 15° ≤ 2θ ≤ 90°, most intense first:
- 31.4 deg, 2.850 Å, intensity 100, (1 1 0)
- 33.8 deg, 2.652 Å, intensity 76, (0 1 2)
- 46.8 deg, 1.941 Å, intensity 53, (2 0 2)
- 57.4 deg, 1.604 Å, intensity 33, (1 2 2)
- 55.9 deg, 1.645 Å, intensity 19, (3 0 0)
- 22.9 deg, 3.883 Å, intensity 19, (0 1 1)
- 65.5 deg, 1.425 Å, intensity 18, (2 2 0)
- 75.8 deg, 1.255 Å, intensity 15, (3 1 2)
- 39.2 deg, 2.297 Å, intensity 13, (0 2 1)
- 71.1 deg, 1.326 Å, intensity 11, (0 2 4)

---

[6]
This entry pairs a crystal structure of KPa2BO8 with its simulated powder X-ray diffraction pattern. Radiation: Cu Kα. Structure: DFT lattice parameters and positions (PBE).

Structural model:
Cell: 4.7871 4.7871 8.6771 Å, 90.00 90.00 120.00°
Space group P-3m1 (No. 164)
Inequivalent atoms, fractional coordinates:
K 0.0000 0.0000 0.0000 (multiplicity 1)
Pa 0.3333 0.6667 0.3570 (multiplicity 2)
B 0.0000 0.0000 0.5000 (multiplicity 1)
O 0.1621 0.3242 0.6159 (multiplicity 6)
O 0.3333 0.6667 0.1373 (multiplicity 2)

Principal peaks in the range 15° ≤ 2θ ≤ 90°, most intense first:
- 23.8 deg, 3.741 Å, intensity 100, (0 1 1)
- 29.8 deg, 2.997 Å, intensity 56, (1 0 2)
- 37.6 deg, 2.394 Å, intensity 33, (1 1 0)
- 45.0 deg, 2.016 Å, intensity 30, (2 0 1)
- 48.7 deg, 1.870 Å, intensity 25, (0 2 2)
- 49.4 deg, 1.844 Å, intensity 20, (1 1 3)
- 60.0 deg, 1.542 Å, intensity 17, (1 2 1)
- 30.9 deg, 2.892 Å, intensity 16, (0 0 3)
- 21.4 deg, 4.146 Å, intensity 15, (1 0 0)
- 63.1 deg, 1.474 Å, intensity 15, (2 1 2)